Computed powder diffraction line list of Eu for λ = 1.5418 Å (Cu Kα), from DFT lattice parameters and positions (GGA-PBE).

Atomic structure:
```
data_Eu
_chemical_formula_sum 'Eu18'
_cell_length_a 11.8408
_cell_length_b 11.8408
_cell_length_c 6.6634
_cell_angle_alpha 90.00
_cell_angle_beta 90.00
_cell_angle_gamma 120.00
_symmetry_space_group_name_H-M 'R -3 c'
_symmetry_Int_Tables_number 167
_symmetry_space_group_name_Hall '-R 3 2"c'
loop_
_atom_site_label
_atom_site_fract_x
_atom_site_fract_y
_atom_site_fract_z
Eu1 0.0000 0.1868 0.2500
```

Largest 12 diffraction maxima, sorted by position, 2θ from 10° to 80°:
2θ 26.6, I 100, hkl 2 1 1
2θ 28.2, I 34, hkl 0 1 2
2θ 30.2, I 18, hkl 2 2 0
2θ 34.3, I 31, hkl 1 3 1
2θ 35.5, I 18, hkl 1 2 2
2θ 40.3, I 14, hkl 4 1 0
2θ 51.4, I 24, hkl 2 2 3
2θ 52.4, I 15, hkl 5 0 2
2θ 53.6, I 11, hkl 6 0 0
2θ 56.3, I 17, hkl 4 3 1
2θ 57.1, I 12, hkl 1 5 2
2θ 77.5, I 13, hkl 2 7 1